1.
Diffraction record for Pm4DyZn. The powder diffraction line list is calculated, not measured: it uses a DFT-relaxed cell (PBE, Alexandria) and Cu Ka.
Intensities are scaled so that the largest is 100.

a b c (Å): 3.6399 3.6399 13.8969
angles (deg): 90.00 90.00 90.00
Space group P4/mmm (No. 123)
Symmetry-distinct sites (fractional):
1 Pm 0.0000 0.0000 0.1315
2 Pm 0.5000 0.5000 0.3193
3 Dy 0.0000 0.0000 0.5000
4 Zn 0.5000 0.5000 0.0000

Top 6 peaks for 15 to 90 degrees two-theta, in order of rising 2θ:
index  Position (°2θ)  I (rel.)
1 0 2  27.67  16
1 0 3  31.25  100
1 1 0  34.86  45
1 1 5  48.19  13
2 0 0  50.12  16
2 1 3  60.26  31

***

2.
Diffraction record for CaPa3C4N12. The powder diffraction line list is calculated, not measured: it uses a DFT-relaxed cell (PBE, Alexandria) and Cu Ka.
Intensities are scaled so that the largest is 100.

a b c (Å): 10.1618 10.1618 8.8039
angles (deg): 90.00 90.00 120.00
Space group R32 (No. 155, hexagonal axes)
Symmetry-distinct sites (fractional):
1 Ca 0.0000 0.0000 0.0000
2 Pa 0.0000 0.5323 0.0000
3 C 0.0000 0.0000 0.5000
4 C 0.0000 0.4668 0.5000
5 N 0.0000 0.6009 0.5000
6 N 0.0000 0.8663 0.5000
7 N 0.0024 0.2018 0.8172

Top 6 peaks for 15 to 90 degrees two-theta, in order of rising 2θ:
index  Position (°2θ)  I (rel.)
0 2 1  22.59  92
2 0 2  28.69  100
2 2 0  35.33  39
4 0 1  42.34  38
0 2 4  46.12  36
2 2 3  47.33  34

***

3.
Diffraction record for Th2Zn9Ni3. The powder diffraction line list is calculated, not measured: it uses a DFT-relaxed cell (PBE, Alexandria) and Cu Ka.
Intensities are scaled so that the largest is 100.

a b c (Å): 13.4510 7.3068 10.4815
angles (deg): 90.00 116.38 90.00
Space group C2/c (No. 15)
Symmetry-distinct sites (fractional):
1 Th 0.1665 0.0737 0.2355
2 Zn 0.0000 0.3508 0.2500
3 Zn 0.0593 0.1084 0.9102
4 Zn 0.0948 0.4233 0.0395
5 Zn 0.1036 0.3357 0.7417
6 Zn 0.2159 0.4118 0.4337
7 Ni 0.0880 0.2172 0.5044
8 Ni 0.2500 0.2500 0.0000

Top 6 peaks for 15 to 90 degrees two-theta, in order of rising 2θ:
index  Position (°2θ)  I (rel.)
2 2 -3  35.64  45
3 1 -4  36.83  66
3 1 2  37.43  72
0 2 3  37.85  74
6 0 -2  40.23  59
3 3 -1  42.23  100